1.
Computed PXRD pattern of Ag2PHSe4 for Cu Kα (λ = 1.5418 Å), from a structure optimized by DFT (PBE).
Kinematic intensities with the Lorentz-polarization factor, no thermal factor.

Unit cell a=5.8505 b=5.9788 c=6.6530 alpha=114.88 beta=112.15 gamma=94.78
Space group P1 (No. 1)
Asymmetric unit:
1 Ag 0.0000 0.0000 0.0000 x1
2 Ag 0.1806 0.8821 0.5810 x1
3 P 0.7569 0.2744 0.5458 x1
4 H 0.5405 0.4303 0.1869 x1
5 Se 0.1323 0.5865 0.7809 x1
6 Se 0.4242 0.4091 0.3469 x1
7 Se 0.6472 0.2073 0.8079 x1
8 Se 0.7701 0.9142 0.2581 x1

The 10 most intense peaks (2θ from 5° to 70°), in order of rising 2θ:
| (hkl) | d (Å) | two_theta | Rel. int. |
| --- | --- | --- | --- |
| 0 1 0 | 5.192 | 17.08 | 58 |
| 1 -1 1 | 3.428 | 25.99 | 52 |
| -1 1 1 | 3.335 | 26.73 | 91 |
| 1 1 0 | 3.235 | 27.57 | 81 |
| 1 1 -2 | 3.186 | 28.01 | 100 |
| 1 0 1 | 3.093 | 28.86 | 34 |
| 1 -2 1 | 2.675 | 33.51 | 56 |
| -2 1 1 | 2.607 | 34.41 | 22 |
| 2 2 -2 | 2.003 | 45.28 | 100 |
| 2 0 -3 | 1.946 | 46.69 | 22 |

2.
Computed PXRD pattern of AgH6Pt2Pb for Cu Kα (λ = 1.5418 Å), from a structure optimized by DFT (PBE).
Kinematic intensities with the Lorentz-polarization factor, no thermal factor.

Unit cell a=8.2355 b=9.3273 c=5.9806 alpha=90.00 beta=109.21 gamma=90.00
Space group C2/c (No. 15)
Asymmetric unit:
1 Ag 0.0000 0.1043 0.2500 x4
2 H 0.1089 0.0689 0.5971 x8
3 H 0.1794 0.4963 0.5671 x8
4 H 0.1851 0.2501 0.1458 x8
5 Pt 0.1848 0.3816 0.3350 x8
6 Pb 0.0000 0.3273 0.7500 x4

The 10 most intense peaks (2θ from 5° to 70°), in order of rising 2θ:
| (hkl) | d (Å) | two_theta | Rel. int. |
| --- | --- | --- | --- |
| 1 1 0 | 5.973 | 14.83 | 30 |
| 2 2 -1 | 2.968 | 30.11 | 57 |
| 1 1 -2 | 2.846 | 31.43 | 31 |
| 0 0 2 | 2.824 | 31.69 | 47 |
| 2 0 -2 | 2.756 | 32.48 | 33 |
| 1 3 -1 | 2.708 | 33.08 | 47 |
| 3 1 -1 | 2.611 | 34.35 | 41 |
| 2 2 1 | 2.401 | 37.45 | 100 |
| 0 4 0 | 2.332 | 38.60 | 39 |
| 1 3 -2 | 2.155 | 41.93 | 35 |